Record 1
This entry pairs a crystal structure of CdH2O2 with its calculated powder X-ray diffraction pattern. Radiation: Cu Kα, 1.54184 Å. Structure: a cell relaxed with GGA-PBE.
No peak broadening, texture or thermal motion is included.

Crystal structure
```
5
Lattice="3.587 0.000 0.000 -1.794 3.107 0.000 0.000 0.000 4.694" Properties=species:S:1:pos:R:3 pbc="T T T"
Cd 0.000 0.000 0.000
H 0.000 2.071 2.604
H 1.794 1.036 2.090
O 0.000 2.071 3.582
O 1.794 1.036 1.112
```

Largest 10 diffraction maxima, by angle, 2θ from 10° to 90°:
- 18.9°, rel. 70
- 28.7°, rel. 53
- 34.6°, rel. 100
- 48.6°, rel. 44
- 50.9°, rel. 24
- 54.8°, rel. 24
- 63.0°, rel. 16
- 67.0°, rel. 14
- 73.0°, rel. 12
- 85.2°, rel. 14

---

Record 2
This entry pairs a crystal structure of Ba2Zr6BCl17 with its calculated powder X-ray diffraction pattern. Radiation: Cu Kα, 1.54184 Å. Structure: a cell relaxed with GGA-PBE.
No peak broadening, texture or thermal motion is included.

Crystal structure
```
26
Lattice="-5.909 5.909 5.003 5.909 -5.909 5.003 5.909 5.909 -5.003" Properties=species:S:1:pos:R:3 pbc="T T T"
Ba 5.909 0.000 2.501
Ba 0.000 5.909 2.501
Zr 9.649 0.795 0.000
Zr 0.795 2.169 0.000
Zr 0.000 0.000 2.335
Zr 0.000 0.000 7.670
Zr 5.114 3.740 5.003
Zr -3.740 5.114 5.003
B 0.000 0.000 0.000
Cl 5.021 3.486 -2.457
Cl 3.287 1.522 0.000
Cl 7.032 1.544 0.000
Cl 2.423 -0.888 2.546
Cl 4.387 -2.622 5.003
Cl 3.486 6.797 -2.457
Cl 1.544 4.786 0.000
Cl 0.888 2.423 2.546
Cl 0.000 0.000 5.003
Cl 5.021 3.486 2.457
Cl 4.365 1.123 5.003
Cl 2.423 -0.888 7.459
Cl 1.522 8.531 0.000
Cl 3.486 6.797 2.457
Cl -1.123 4.365 5.003
Cl 2.622 4.387 5.003
Cl 0.888 2.423 7.459
```

Largest 10 diffraction maxima, by angle, 2θ from 10° to 90°:
- 11.6°, rel. 100
- 15.0°, rel. 66
- 23.3°, rel. 49
- 27.8°, rel. 40
- 33.9°, rel. 75
- 35.3°, rel. 42
- 35.9°, rel. 47
- 38.5°, rel. 42
- 48.7°, rel. 26
- 50.2°, rel. 44

---

Record 3
This entry pairs a crystal structure of SrCd11 with its calculated powder X-ray diffraction pattern. Radiation: Cu Kα, 1.54184 Å. Structure: a cell relaxed with GGA-PBE.
No peak broadening, texture or thermal motion is included.

Crystal structure
```
24
Lattice="-6.091 6.091 3.921 6.091 -6.091 3.921 6.091 6.091 -3.921" Properties=species:S:1:pos:R:3 pbc="T T T"
Sr 6.091 3.045 0.980
Sr 0.000 3.045 2.941
Cd 0.000 0.000 0.000
Cd 3.045 3.045 -1.960
Cd 3.045 -3.045 1.960
Cd 6.091 -3.045 2.941
Cd 4.626 -0.553 1.371
Cd 7.556 -0.553 1.371
Cd 2.492 1.580 0.589
Cd 9.689 1.580 0.589
Cd 4.626 5.538 -1.371
Cd 1.465 -0.553 2.549
Cd 2.492 4.510 0.589
Cd 3.598 -1.580 4.510
Cd 0.000 6.091 0.000
Cd 2.492 7.671 -0.589
Cd 3.598 1.580 3.332
Cd 4.626 6.644 1.371
Cd 1.465 0.553 5.292
Cd -3.598 4.510 3.332
Cd 3.598 4.510 3.332
Cd -1.465 6.644 2.549
Cd 1.465 6.644 2.549
Cd 0.000 9.136 0.980
```

Largest 10 diffraction maxima, by angle, 2θ from 10° to 90°:
- 28.8°, rel. 23
- 32.6°, rel. 73
- 32.9°, rel. 57
- 35.1°, rel. 26
- 37.4°, rel. 16
- 38.2°, rel. 35
- 38.7°, rel. 100
- 40.3°, rel. 36
- 58.5°, rel. 27
- 62.6°, rel. 15

---

Record 4
This entry pairs a crystal structure of Cs2AlHgCl6 with its calculated powder X-ray diffraction pattern. Radiation: Cu Kα, 1.54184 Å. Structure: a cell relaxed with GGA-PBE.
No peak broadening, texture or thermal motion is included.

Crystal structure
```
10
Lattice="0.000 5.329 5.329 5.329 0.000 5.329 5.329 5.329 0.000" Properties=species:S:1:pos:R:3 pbc="T T T"
Cs 2.664 2.664 2.664
Cs 7.993 7.993 7.993
Al 0.000 0.000 0.000
Hg 5.329 5.329 5.329
Cl 5.329 5.329 2.369
Cl 5.329 2.369 5.329
Cl 8.289 5.329 5.329
Cl 2.369 5.329 5.329
Cl 5.329 8.289 5.329
Cl 5.329 5.329 8.289
```

Largest 10 diffraction maxima, by angle, 2θ from 10° to 90°:
- 14.4°, rel. 18
- 23.6°, rel. 100
- 27.8°, rel. 25
- 33.6°, rel. 54
- 36.8°, rel. 19
- 41.5°, rel. 43
- 48.3°, rel. 35
- 54.4°, rel. 24
- 65.5°, rel. 26
- 80.6°, rel. 14

---

Record 5
This entry pairs a crystal structure of Rb2SbAuF6 with its calculated powder X-ray diffraction pattern. Radiation: Cu Kα, 1.54184 Å. Structure: a cell relaxed with GGA-PBE.
No peak broadening, texture or thermal motion is included.

Crystal structure
```
10
Lattice="0.000 4.691 4.691 4.691 0.000 4.691 4.691 4.691 0.000" Properties=species:S:1:pos:R:3 pbc="T T T"
Rb 2.346 2.346 2.346
Rb 7.037 7.037 7.037
Sb 0.000 0.000 0.000
Au 4.691 4.691 4.691
F 4.691 4.691 2.184
F 4.691 2.184 4.691
F 7.199 4.691 4.691
F 2.184 4.691 4.691
F 4.691 7.199 4.691
F 4.691 4.691 7.199
```

Largest 10 diffraction maxima, by angle, 2θ from 10° to 90°:
- 18.9°, rel. 19
- 26.9°, rel. 100
- 38.4°, rel. 35
- 43.1°, rel. 9
- 47.5°, rel. 43
- 55.4°, rel. 22
- 62.6°, rel. 20
- 69.4°, rel. 7
- 75.9°, rel. 23
- 88.4°, rel. 12

---

Record 6
This entry pairs a crystal structure of LuMn6Ge6 with its calculated powder X-ray diffraction pattern. Radiation: Cu Kα, 1.54184 Å. Structure: a cell relaxed with GGA-PBE.
No peak broadening, texture or thermal motion is included.

Crystal structure
```
13
Lattice="5.160 0.000 0.000 -2.580 4.469 0.000 0.000 0.000 8.122" Properties=species:S:1:pos:R:3 pbc="T T T"
Lu 0.000 0.000 0.000
Mn -1.290 2.234 2.032
Mn -1.290 2.234 6.090
Mn 2.580 0.000 2.032
Mn 2.580 0.000 6.090
Mn 1.290 2.234 2.032
Mn 1.290 2.234 6.090
Ge 0.000 0.000 2.784
Ge 0.000 0.000 5.338
Ge 0.000 2.979 0.000
Ge 0.000 2.979 4.061
Ge 2.580 1.490 0.000
Ge 2.580 1.490 4.061
```

Largest 10 diffraction maxima, by angle, 2θ from 10° to 90°:
- 34.8°, rel. 78
- 38.9°, rel. 45
- 40.4°, rel. 50
- 41.5°, rel. 100
- 44.6°, rel. 24
- 46.4°, rel. 35
- 48.8°, rel. 23
- 66.9°, rel. 23
- 73.4°, rel. 29
- 80.0°, rel. 27

---

Q: Which formula does entry 1 have?
A: CdH2O2

---

Copy entry 4 word for word.
This entry pairs a crystal structure of Cs2AlHgCl6 with its calculated powder X-ray diffraction pattern. Radiation: Cu Kα, 1.54184 Å. Structure: a cell relaxed with GGA-PBE.
No peak broadening, texture or thermal motion is included.

Crystal structure
```
10
Lattice="0.000 5.329 5.329 5.329 0.000 5.329 5.329 5.329 0.000" Properties=species:S:1:pos:R:3 pbc="T T T"
Cs 2.664 2.664 2.664
Cs 7.993 7.993 7.993
Al 0.000 0.000 0.000
Hg 5.329 5.329 5.329
Cl 5.329 5.329 2.369
Cl 5.329 2.369 5.329
Cl 8.289 5.329 5.329
Cl 2.369 5.329 5.329
Cl 5.329 8.289 5.329
Cl 5.329 5.329 8.289
```

Largest 10 diffraction maxima, by angle, 2θ from 10° to 90°:
- 14.4°, rel. 18
- 23.6°, rel. 100
- 27.8°, rel. 25
- 33.6°, rel. 54
- 36.8°, rel. 19
- 41.5°, rel. 43
- 48.3°, rel. 35
- 54.4°, rel. 24
- 65.5°, rel. 26
- 80.6°, rel. 14